# 1
Starting from a DFT-relaxed cell (PBE, Alexandria), the powder XRD pattern of Sm3Ho3Th2 was calculated for CuKα.
Kinematic intensities with the Lorentz-polarization factor, no thermal factor.

Structure:
```
Sm3Ho3Th2
1.0
5.048 0.000 0.000
0.000 5.056 0.000
0.000 0.000 20.359
Sm Ho Th
6 6 4
Direct
0.000 0.000 0.000
0.000 0.500 0.128
0.000 0.500 0.872
0.500 0.000 0.372
0.500 0.000 0.628
0.500 0.500 0.500
0.000 0.000 0.500
0.000 0.500 0.372
0.000 0.500 0.628
0.500 0.000 0.128
0.500 0.000 0.872
0.500 0.500 0.000
0.000 0.000 0.250
0.000 0.000 0.750
0.500 0.500 0.250
0.500 0.500 0.750
```

Most intense lines, 5° ≤ 2θ ≤ 70°, low angle first:
10.180 Å, I = 5, hkl 0 0 2
2.924 Å, I = 100, hkl 1 1 4
2.545 Å, I = 17, hkl 0 0 8
2.526 Å, I = 34, hkl 2 0 0
2.460 Å, I = 1, hkl 1 1 6
1.793 Å, I = 24, hkl 2 0 8
1.786 Å, I = 12, hkl 2 2 0
1.533 Å, I = 14, hkl 1 1 12
1.524 Å, I = 29, hkl 3 1 4
1.462 Å, I = 12, hkl 2 2 8

---

# 2
Starting from a DFT-relaxed cell (PBE, Alexandria), the powder XRD pattern of Zn2SeCl2O3 was calculated for CuKα.
Kinematic intensities with the Lorentz-polarization factor, no thermal factor.

Structure:
```
Zn2SeCl2O3
1.0
7.960 0.000 0.000
0.000 10.485 0.000
-1.207 0.000 7.749
Zn Se Cl O
8 4 8 12
Direct
0.081 0.222 0.123
0.081 0.278 0.623
0.220 0.508 0.890
0.220 0.992 0.390
0.780 0.008 0.610
0.780 0.492 0.110
0.919 0.722 0.377
0.919 0.778 0.877
0.183 0.034 0.811
0.183 0.466 0.311
0.817 0.534 0.689
0.817 0.966 0.189
0.219 0.714 0.960
0.219 0.786 0.460
0.383 0.103 0.235
0.383 0.397 0.735
0.617 0.603 0.265
0.617 0.897 0.765
0.781 0.214 0.540
0.781 0.286 0.040
0.009 0.050 0.224
0.009 0.450 0.724
0.115 0.181 0.876
0.115 0.319 0.376
0.192 0.093 0.604
0.192 0.407 0.104
0.808 0.593 0.896
0.808 0.907 0.396
0.885 0.681 0.624
0.885 0.819 0.124
0.991 0.550 0.276
0.991 0.950 0.776
```

Most intense lines, 5° ≤ 2θ ≤ 70°, low angle first:
7.865 Å, I = 100, hkl 1 0 0
6.292 Å, I = 16, hkl 1 1 0
3.939 Å, I = 25, hkl 2 0 0
3.634 Å, I = 13, hkl 0 1 2
3.497 Å, I = 22, hkl 1 1 -2
3.151 Å, I = 40, hkl 2 1 1
3.027 Å, I = 32, hkl 1 2 -2
2.621 Å, I = 17, hkl 0 4 0
2.543 Å, I = 13, hkl 3 1 0
1.748 Å, I = 17, hkl 2 2 -4

---

# 3
Starting from a DFT-relaxed cell (PBE, Alexandria), the powder XRD pattern of La4SBr2N was calculated for CuKα.
Kinematic intensities with the Lorentz-polarization factor, no thermal factor.

Structure:
```
La4SBr2N
1.0
7.034 0.000 0.000
0.000 3.977 0.000
-2.260 0.000 7.388
La S Br N
4 1 2 1
Direct
0.205 0.000 0.188
0.236 0.500 0.804
0.764 0.500 0.196
0.795 0.000 0.812
0.500 0.000 0.000
0.000 0.000 0.500
0.500 0.500 0.500
0.000 0.500 0.000
```

Most intense lines, 5° ≤ 2θ ≤ 70°, low angle first:
3.299 Å, I = 26, hkl 1 1 -1
2.954 Å, I = 46, hkl 2 0 -2
2.943 Å, I = 100, hkl 1 1 1
2.770 Å, I = 13, hkl 2 0 1
2.721 Å, I = 32, hkl 1 1 -2
2.463 Å, I = 23, hkl 0 0 3
2.157 Å, I = 22, hkl 1 1 -3
2.020 Å, I = 33, hkl 3 1 -1
1.988 Å, I = 21, hkl 0 2 0
1.649 Å, I = 16, hkl 2 2 -2

---

# 4
Starting from a DFT-relaxed cell (PBE, Alexandria), the powder XRD pattern of Ce2Te7Br2O17 was calculated for CuKα.
Kinematic intensities with the Lorentz-polarization factor, no thermal factor.

Structure:
```
Ce2Te7Br2O17
1.0
9.949 0.000 0.000
0.000 5.498 0.000
-7.367 0.000 19.262
Ce Te Br O
4 14 4 34
Direct
0.003 0.134 0.408
0.003 0.866 0.908
0.997 0.134 0.092
0.997 0.866 0.592
0.000 0.435 0.250
0.000 0.565 0.750
0.263 0.327 0.579
0.263 0.673 0.079
0.283 0.397 0.909
0.283 0.603 0.409
0.325 0.022 0.756
0.325 0.978 0.256
0.675 0.022 0.744
0.675 0.978 0.244
0.717 0.397 0.591
0.717 0.603 0.091
0.737 0.327 0.921
0.737 0.673 0.421
0.474 0.180 0.081
0.474 0.820 0.581
0.526 0.180 0.419
0.526 0.820 0.919
0.099 0.204 0.215
0.099 0.796 0.715
0.112 0.103 0.532
0.112 0.897 0.032
0.138 0.163 0.900
0.138 0.837 0.400
0.141 0.425 0.089
0.141 0.575 0.589
0.154 0.362 0.350
0.154 0.638 0.850
0.214 0.126 0.663
0.214 0.874 0.163
0.220 0.406 0.476
0.220 0.594 0.976
0.274 0.284 0.801
0.274 0.716 0.301
0.500 0.190 0.750
0.500 0.810 0.250
0.726 0.284 0.699
0.726 0.716 0.199
0.780 0.406 0.024
0.780 0.594 0.524
0.786 0.126 0.837
0.786 0.874 0.337
0.846 0.362 0.150
0.846 0.638 0.650
0.859 0.425 0.411
0.859 0.575 0.911
0.862 0.163 0.600
0.862 0.837 0.100
0.888 0.103 0.968
0.888 0.897 0.468
0.901 0.204 0.285
0.901 0.796 0.785
```

Most intense lines, 5° ≤ 2θ ≤ 70°, low angle first:
4.590 Å, I = 48, hkl 1 1 -2
3.672 Å, I = 91, hkl 2 1 -1
3.544 Å, I = 77, hkl 2 1 -3
3.325 Å, I = 82, hkl 2 1 -4
3.210 Å, I = 100, hkl 0 0 6
3.101 Å, I = 32, hkl 3 0 0
3.069 Å, I = 40, hkl 2 1 2
2.799 Å, I = 35, hkl 2 1 3
2.527 Å, I = 52, hkl 0 2 3
2.106 Å, I = 38, hkl 3 2 -3